For V3CrO10, a cell relaxed with PBE+U gives the computed X-ray diffraction stick pattern in this record (λ = 1.5418 Å (Cu Kα)).
Peak positions follow from Bragg's law for the DFT cell and can differ from measured ones.

Cell lengths 6.584, 6.584, 4.568 Å; angles 90.00, 90.00, 90.00 degrees
Element x y z (fractional)
V  0.000  0.000  0.000
V  0.000  0.500  0.117
V  0.500  0.000  0.883
Cr  0.500  0.500  0.000
O  0.000  0.219  0.216
O  0.000  0.500  0.764
O  0.000  0.781  0.216
O  0.219  0.000  0.784
O  0.284  0.500  0.213
O  0.500  0.000  0.236
O  0.500  0.284  0.787
O  0.500  0.716  0.787
O  0.716  0.500  0.213
O  0.781  0.000  0.784

Most intense lines, 15 to 90 degrees two-theta, by intensity:
| hkl | two_theta | d/Å | I (rel.) |
| --- | --- | --- | --- |
| 2 0 0 | 27.1 | 3.292 | 100.0 |
| 0 0 1 | 19.4 | 4.568 | 88.1 |
| 2 0 1 | 33.6 | 2.671 | 61.6 |
| 1 0 1 | 23.7 | 3.753 | 36.0 |
| 4 0 0 | 55.9 | 1.646 | 20.6 |
| 2 2 1 | 43.6 | 2.074 | 20.2 |
| 4 2 1 | 66.8 | 1.401 | 13.0 |
| 1 0 2 | 41.9 | 2.158 | 12.9 |
| 3 0 1 | 45.9 | 1.978 | 12.5 |
| 4 0 1 | 59.7 | 1.548 | 12.2 |